(1)
Starting from a PBE-relaxed structure, the XRD peak list of Sm2AgP2N6 was simulated for λ = 1.5418 Å (Cu Kα).
Neutral-atom scattering factors, no anomalous dispersion.

Most intense lines, 2θ = 10–80°, sorted by position:
- hkl 0 0 1, 2θ = 15.33°, intensity 92
- hkl 1 1 0, 2θ = 19.60°, intensity 68
- hkl 1 0 1, 2θ = 21.37°, intensity 100
- hkl -1 1 1, 2θ = 30.10°, intensity 84
- hkl 1 1 -1, 2θ = 30.22°, intensity 69
- hkl 2 1 1, 2θ = 31.24°, intensity 97
- hkl 1 2 2, 2θ = 32.09°, intensity 87
- hkl 1 0 2, 2θ = 33.23°, intensity 56
- hkl 0 2 0, 2θ = 33.94°, intensity 36
- hkl 0 1 -2, 2θ = 41.03°, intensity 35

Crystal structure
a b c (Å): 5.768 6.379 6.639
angles (deg): 61.70 70.96 64.05
Space group P-1 (No. 2)
One atom of each set of equivalent atoms:
Sm 0.184 0.456 0.218 [2 per cell]
Ag 0.500 0.000 0.000 [1 per cell]
P 0.105 0.951 0.776 [2 per cell]
N 0.021 0.233 0.606 [2 per cell]
N 0.086 0.212 0.092 [2 per cell]
N 0.378 0.789 0.871 [2 per cell]

---

(2)
Starting from a PBE-relaxed structure, the XRD peak list of PaAgSeN was simulated for λ = 1.5418 Å (Cu Kα).
Neutral-atom scattering factors, no anomalous dispersion.

Most intense lines, 2θ = 10–80°, sorted by position:
- hkl 1 0 4, 2θ = 28.14°, intensity 100
- hkl 0 1 5, 2θ = 29.10°, intensity 35
- hkl 1 0 7, 2θ = 31.54°, intensity 83
- hkl 0 1 11, 2θ = 38.03°, intensity 75
- hkl 1 1 0, 2θ = 46.49°, intensity 67
- hkl 1 0 16, 2θ = 48.18°, intensity 22
- hkl 0 2 4, 2θ = 55.23°, intensity 16
- hkl 1 1 12, 2θ = 55.98°, intensity 15
- hkl 0 2 7, 2θ = 57.27°, intensity 16
- hkl 2 0 11, 2θ = 61.56°, intensity 19

Crystal structure
a b c (Å): 3.9068 3.9068 36.4179
angles (deg): 90.00 90.00 120.00
Space group R-3m (No. 166, hexagonal axes)
One atom of each set of equivalent atoms:
Pa 0.0000 0.0000 0.1276 [6 per cell]
Ag 0.0000 0.0000 0.3088 [6 per cell]
Se 0.0000 0.0000 0.4088 [6 per cell]
N 0.0000 0.0000 0.1895 [6 per cell]

---

(3)
Starting from a PBE-relaxed structure, the XRD peak list of AgTePdN2 was simulated for λ = 1.5418 Å (Cu Kα).
Neutral-atom scattering factors, no anomalous dispersion.

Most intense lines, 2θ = 10–80°, sorted by position:
- hkl 0 0 1, 2θ = 15.10°, intensity 26
- hkl 1 0 0, 2θ = 22.05°, intensity 35
- hkl 1 0 1, 2θ = 26.84°, intensity 29
- hkl 0 0 2, 2θ = 30.48°, intensity 75
- hkl 1 1 0, 2θ = 31.39°, intensity 100
- hkl 1 1 1, 2θ = 35.00°, intensity 36
- hkl 1 1 2, 2θ = 44.32°, intensity 78
- hkl 2 0 0, 2θ = 44.98°, intensity 49
- hkl 2 0 2, 2θ = 55.31°, intensity 52
- hkl 2 2 2, 2θ = 73.95°, intensity 21

Crystal structure
a b c (Å): 4.031 4.031 5.866
angles (deg): 90.00 90.00 90.00
Space group P4/mmm (No. 123)
One atom of each set of equivalent atoms:
Ag 0.000 0.000 0.000 [1 per cell]
Te 0.500 0.500 0.000 [1 per cell]
Pd 0.500 0.500 0.500 [1 per cell]
N 0.000 0.500 0.500 [2 per cell]

---

(4)
Starting from a PBE-relaxed structure, the XRD peak list of Pm2AgN was simulated for λ = 1.5418 Å (Cu Kα).
Neutral-atom scattering factors, no anomalous dispersion.

Most intense lines, 2θ = 10–80°, sorted by position:
- hkl 0 0 2, 2θ = 24.43°, intensity 29
- hkl 1 2 1, 2θ = 27.69°, intensity 72
- hkl 0 3 1, 2θ = 29.13°, intensity 16
- hkl 0 2 2, 2θ = 30.21°, intensity 31
- hkl 1 1 2, 2θ = 31.46°, intensity 100
- hkl 1 3 0, 2θ = 31.79°, intensity 68
- hkl 2 0 0, 2θ = 35.27°, intensity 59
- hkl 1 3 2, 2θ = 40.50°, intensity 30
- hkl 1 4 1, 2θ = 41.70°, intensity 16
- hkl 2 2 2, 2θ = 47.11°, intensity 18

Crystal structure
a b c (Å): 5.089 10.135 7.287
angles (deg): 90.00 90.00 90.00
Space group Ima2 (No. 46)
One atom of each set of equivalent atoms:
Pm 0.250 0.108 0.000 [4 per cell]
Pm 0.250 0.683 0.157 [4 per cell]
Ag 0.250 0.079 0.431 [4 per cell]
N 0.250 0.621 0.470 [4 per cell]

---

(5)
Starting from a PBE-relaxed structure, the XRD peak list of Pr12Ag6N was simulated for λ = 1.5418 Å (Cu Kα).
Neutral-atom scattering factors, no anomalous dispersion.

Most intense lines, 2θ = 10–80°, sorted by position:
- hkl 1 2 2, 2θ = 26.02°, intensity 14
- hkl 1 0 4, 2θ = 28.38°, intensity 60
- hkl 2 2 0, 2θ = 29.16°, intensity 25
- hkl 1 3 1, 2θ = 31.15°, intensity 100
- hkl 4 -1 2, 2θ = 33.35°, intensity 34
- hkl 3 -1 4, 2θ = 35.27°, intensity 21
- hkl 2 2 3, 2θ = 35.75°, intensity 92
- hkl 3 -2 5, 2θ = 40.99°, intensity 17
- hkl 1 3 7, 2θ = 58.22°, intensity 29
- hkl 8 -3 2, 2θ = 62.93°, intensity 15

Crystal structure
a b c (Å): 12.2499 12.2499 13.1715
angles (deg): 90.00 90.00 120.00
Space group R-3 (No. 148, hexagonal axes)
One atom of each set of equivalent atoms:
Pr 0.0332 0.8508 0.3884 [18 per cell]
Pr 0.0366 0.1904 0.8831 [18 per cell]
Ag 0.0041 0.3987 0.7504 [18 per cell]
N 0.0000 0.0000 0.5000 [3 per cell]

---

(6)
Starting from a PBE-relaxed structure, the XRD peak list of Pu2AgS2N2 was simulated for λ = 1.5418 Å (Cu Kα).
Neutral-atom scattering factors, no anomalous dispersion.

Most intense lines, 2θ = 10–80°, sorted by position:
- hkl 0 0 3, 2θ = 24.52°, intensity 25
- hkl 1 0 1, 2θ = 28.30°, intensity 100
- hkl 0 1 2, 2θ = 31.74°, intensity 66
- hkl 0 1 3, 2θ = 36.84°, intensity 19
- hkl 1 0 4, 2θ = 43.09°, intensity 30
- hkl 1 1 0, 2θ = 47.82°, intensity 32
- hkl 0 1 5, 2θ = 50.20°, intensity 15
- hkl 1 1 3, 2θ = 54.45°, intensity 18
- hkl 0 2 1, 2θ = 56.50°, intensity 15
- hkl 1 0 6, 2θ = 58.00°, intensity 14

Crystal structure
a b c (Å): 3.8044 3.8044 10.8935
angles (deg): 90.00 90.00 120.00
Space group P-3m1 (No. 164)
One atom of each set of equivalent atoms:
Pu 0.3333 0.6667 0.1301 [2 per cell]
Ag 0.0000 0.0000 0.5000 [1 per cell]
S 0.0000 0.0000 0.2831 [2 per cell]
N 0.3333 0.6667 0.9260 [2 per cell]

---

(7)
Starting from a PBE-relaxed structure, the XRD peak list of RbAgN was simulated for λ = 1.5418 Å (Cu Kα).
Neutral-atom scattering factors, no anomalous dispersion.

Most intense lines, 2θ = 10–80°, sorted by position:
- hkl 0 1 -1, 2θ = 17.58°, intensity 27
- hkl 0 1 1, 2θ = 23.33°, intensity 16
- hkl 0 1 -2, 2θ = 27.21°, intensity 27
- hkl -1 1 1, 2θ = 28.54°, intensity 84
- hkl 1 0 1, 2θ = 29.54°, intensity 22
- hkl 0 2 -1, 2θ = 30.75°, intensity 100
- hkl 1 0 2, 2θ = 40.42°, intensity 28
- hkl 2 0 -1, 2θ = 43.57°, intensity 21
- hkl 1 -3 0, 2θ = 51.90°, intensity 17
- hkl 2 2 -2, 2θ = 54.25°, intensity 17

Crystal structure
a b c (Å): 4.155 5.893 7.187
angles (deg): 105.34 106.74 90.02
Space group P1 (No. 1)
One atom of each set of equivalent atoms:
Rb 0.000 0.000 0.000 [1 per cell]
Rb 0.176 0.659 0.355 [1 per cell]
Ag 0.430 0.462 0.862 [1 per cell]
Ag 0.787 0.243 0.575 [1 per cell]
N 0.651 0.010 0.304 [1 per cell]
N 0.932 0.464 0.868 [1 per cell]

---

(8)
Starting from a PBE-relaxed structure, the XRD peak list of AgRu2N3 was simulated for λ = 1.5418 Å (Cu Kα).
Neutral-atom scattering factors, no anomalous dispersion.

Most intense lines, 2θ = 10–80°, sorted by position:
- hkl 0 0 9, 2θ = 29.45°, intensity 42
- hkl 1 0 2, 2θ = 32.63°, intensity 100
- hkl 0 1 4, 2θ = 34.61°, intensity 13
- hkl 1 0 5, 2θ = 36.04°, intensity 30
- hkl 0 1 7, 2θ = 39.62°, intensity 64
- hkl 1 1 0, 2θ = 56.94°, intensity 27
- hkl 1 0 14, 2θ = 57.60°, intensity 23
- hkl 0 1 16, 2θ = 63.89°, intensity 18
- hkl 1 1 9, 2θ = 65.40°, intensity 23
- hkl 2 0 7, 2θ = 71.59°, intensity 15

Crystal structure
a b c (Å): 3.2346 3.2346 27.2927
angles (deg): 90.00 90.00 120.00
Space group P3_121 (No. 152)
One atom of each set of equivalent atoms:
Ag 0.0000 0.6265 0.1667 [3 per cell]
Ru 0.0390 0.7111 0.6020 [6 per cell]
N 0.0000 0.8025 0.6667 [3 per cell]
N 0.0070 0.6335 0.2448 [6 per cell]